(1)
Theoretical powder X-ray diffraction pattern
Compound: SrCaEuSbO6
Radiation: Cu Kα X-rays
Structure: a crystal structure in the Materials Project, relaxed with GGA-PBE

The 10 most intense peaks (2θ from 10° to 90°), by angle:
| 2theta | I/Imax |
| --- | --- |
| 21.12 | 163 |
| 21.19 | 81 |
| 30.08 | 1000 |
| 42.93 | 97 |
| 43.13 | 192 |
| 53.34 | 149 |
| 53.46 | 300 |
| 62.48 | 108 |
| 71.02 | 91 |
| 86.58 | 76 |

Atomic structure:
Unit cell a=8.3846 b=8.3957 c=8.4267 alpha=90.00 beta=90.00 gamma=90.00
Fractional positions:
Sr: 0.2500 0.2500 0.2500
Sr: 0.2500 0.7500 0.2500
Sr: 0.7500 0.2500 0.7500
Sr: 0.7500 0.7500 0.7500
Ca: 0.2500 0.2500 0.7500
Ca: 0.2500 0.7500 0.7500
Ca: 0.7500 0.2500 0.2500
Ca: 0.7500 0.7500 0.2500
Eu: 0.0000 0.0000 0.0000
Eu: 0.0000 0.5000 0.5000
Eu: 0.5000 0.0000 0.5000
Eu: 0.5000 0.5000 0.0000
Sb: 0.0000 0.0000 0.5000
Sb: 0.0000 0.5000 0.0000
Sb: 0.5000 0.0000 0.0000
Sb: 0.5000 0.5000 0.5000
O: 0.0302 0.2329 0.4523
O: 0.0302 0.2671 0.0477
O: 0.0506 0.0419 0.7320
O: 0.0506 0.4581 0.7680
O: 0.2333 0.5418 0.0363
O: 0.2333 0.9582 0.4637
O: 0.2667 0.5418 0.4637
O: 0.2667 0.9582 0.0363
O: 0.4494 0.0419 0.7680
O: 0.4494 0.4581 0.7320
O: 0.4698 0.2329 0.0477
O: 0.4698 0.2671 0.4523
O: 0.5302 0.7329 0.5477
O: 0.5302 0.7671 0.9523
O: 0.5506 0.5419 0.2680
O: 0.5506 0.9581 0.2320
O: 0.7333 0.0418 0.9637
O: 0.7333 0.4582 0.5363
O: 0.7667 0.0418 0.5363
O: 0.7667 0.4582 0.9637
O: 0.9494 0.5419 0.2320
O: 0.9494 0.9581 0.2680
O: 0.9698 0.7329 0.9523
O: 0.9698 0.7671 0.5477

***

(2)
Theoretical powder X-ray diffraction pattern
Compound: SrCaEuSbO6
Radiation: Cu Kα X-rays
Structure: a crystal structure in the Materials Project, relaxed with GGA-PBE

The 10 most intense peaks (2θ from 10° to 90°), by angle:
| 2theta | I/Imax |
| --- | --- |
| 18.51 | 313 |
| 30.31 | 1000 |
| 30.74 | 605 |
| 42.74 | 184 |
| 44.03 | 285 |
| 53.56 | 248 |
| 54.39 | 470 |
| 63.04 | 184 |
| 87.07 | 126 |
| 88.18 | 145 |

Atomic structure:
Unit cell a=5.8165 b=5.8165 c=8.4627 alpha=90.00 beta=90.00 gamma=90.00
Fractional positions:
Sr: 0.0000 0.5000 0.2500
Sr: 0.5000 0.0000 0.7500
Ca: 0.0000 0.0000 0.0000
Ca: 0.5000 0.5000 0.5000
Eu: 0.0000 0.5000 0.7500
Eu: 0.5000 0.0000 0.2500
Sb: 0.0000 0.0000 0.5000
Sb: 0.5000 0.5000 0.0000
O: 0.0000 0.0000 0.2637
O: 0.0000 0.0000 0.7363
O: 0.1558 0.3076 0.5131
O: 0.1924 0.3442 0.9869
O: 0.3076 0.8442 0.4869
O: 0.3442 0.8076 0.0131
O: 0.5000 0.5000 0.2363
O: 0.5000 0.5000 0.7637
O: 0.6558 0.1924 0.0131
O: 0.6924 0.1558 0.4869
O: 0.8076 0.6558 0.9869
O: 0.8442 0.6924 0.5131

***

(3)
Theoretical powder X-ray diffraction pattern
Compound: SrCaEuSbO6
Radiation: Cu Kα X-rays
Structure: a crystal structure in the Materials Project, relaxed with GGA-PBE

The 10 most intense peaks (2θ from 10° to 90°), by angle:
| 2theta | I/Imax |
| --- | --- |
| 20.84 | 152 |
| 21.47 | 240 |
| 30.09 | 1000 |
| 30.54 | 601 |
| 42.41 | 186 |
| 43.74 | 286 |
| 53.16 | 246 |
| 54.00 | 470 |
| 62.56 | 185 |
| 87.44 | 144 |

Atomic structure:
Unit cell a=5.8541 b=5.8541 c=8.5256 alpha=90.00 beta=90.00 gamma=90.00
Fractional positions:
Sr: 0.0000 0.5000 0.2500
Sr: 0.5000 0.0000 0.7500
Ca: 0.0000 0.5000 0.7500
Ca: 0.5000 0.0000 0.2500
Eu: 0.0000 0.0000 0.0000
Eu: 0.5000 0.5000 0.5000
Sb: 0.0000 0.0000 0.5000
Sb: 0.5000 0.5000 0.0000
O: 0.0000 0.0000 0.2648
O: 0.0000 0.0000 0.7352
O: 0.1565 0.3062 0.5102
O: 0.1938 0.3435 0.9898
O: 0.3062 0.8435 0.4898
O: 0.3435 0.8062 0.0102
O: 0.5000 0.5000 0.2352
O: 0.5000 0.5000 0.7648
O: 0.6565 0.1938 0.0102
O: 0.6938 0.1565 0.4898
O: 0.8062 0.6565 0.9898
O: 0.8435 0.6938 0.5102

***

(4)
Theoretical powder X-ray diffraction pattern
Compound: CaTbEuSbO6
Radiation: Cu Kα X-rays
Structure: a crystal structure in the Materials Project, relaxed with GGA-PBE

The 10 most intense peaks (2θ from 10° to 90°), by angle:
| 2theta | I/Imax |
| --- | --- |
| 18.35 | 140 |
| 21.22 | 90 |
| 30.18 | 1000 |
| 35.55 | 92 |
| 43.21 | 308 |
| 53.61 | 400 |
| 62.76 | 189 |
| 71.21 | 176 |
| 79.25 | 62 |
| 87.08 | 213 |

Atomic structure:
Unit cell a=5.9220 b=5.9220 c=5.9220 alpha=60.00 beta=60.00 gamma=60.00
Fractional positions:
Ca: 0.0000 0.0000 0.0000
Tb: 0.7500 0.7500 0.7500
Eu: 0.5000 0.5000 0.5000
Sb: 0.2500 0.2500 0.2500
O: 0.0130 0.0130 0.4870
O: 0.0130 0.4870 0.0130
O: 0.0130 0.4870 0.4870
O: 0.4870 0.0130 0.0130
O: 0.4870 0.0130 0.4870
O: 0.4870 0.4870 0.0130